# LaPr2Er9
Theoretical X-ray powder pattern, Cu Kα (λ = 1.5418 Å). Input: a GGA-PBE-relaxed structure.
Peak positions follow from Bragg's law for the DFT cell and can differ from measured ones.

Main lines, low angle first (10 to 90 degrees two-theta):
2θ/deg, intensity
30.7, 100
35.6, 51
51.3, 36
61.0, 43
64.0, 12
75.4, 6
83.6, 18
86.3, 17

Structural model:
Unit cell a=5.0411 b=5.0411 c=15.1206 alpha=90.00 beta=90.00 gamma=90.00
Atoms (fractional coordinates):
La 0.0000 0.0000 0.0000
Pr 0.0000 0.0000 0.3331
Pr 0.0000 0.0000 0.6669
Er 0.0000 0.5000 0.1681
Er 0.0000 0.5000 0.5000
Er 0.0000 0.5000 0.8319
Er 0.5000 0.0000 0.1681
Er 0.5000 0.0000 0.5000
Er 0.5000 0.0000 0.8319
Er 0.5000 0.5000 0.0000
Er 0.5000 0.5000 0.3340
Er 0.5000 0.5000 0.6660